(1)
Simulated powder diffraction line list of Cs2Rb3CuSb2 for Cu Kα (λ = 1.5418 Å), from a DFT-relaxed cell (GGA-PBE, OQMD).
Intensities are scaled so that the largest is 100.

Top 10 peaks for 2θ from 10° to 90°, sorted by position:
| hkl | two_theta | d [Å] | I (rel.) |
| --- | --- | --- | --- |
| 1 0 7 | 26.48 | 3.366 | 70.2 |
| 1 1 0 | 27.96 | 3.192 | 100.0 |
| 0 2 7 | 38.88 | 2.316 | 24.9 |
| 0 1 14 | 45.80 | 1.981 | 17.0 |
| 2 1 7 | 48.57 | 1.874 | 26.0 |
| 3 0 0 | 49.46 | 1.843 | 20.1 |
| 2 0 14 | 54.52 | 1.683 | 11.3 |
| 2 2 0 | 57.78 | 1.596 | 12.5 |
| 1 2 14 | 62.37 | 1.489 | 13.0 |
| 1 3 7 | 64.64 | 1.442 | 11.1 |

Structure:
Unit cell a=6.3831 b=6.3831 c=29.7068 alpha=90.00 beta=90.00 gamma=120.00
Space group R-3m (No. 166, hexagonal axes)
Unique sites:
Cs 0.0000 0.0000 0.2162
Rb 0.0000 0.0000 0.3609
Rb 0.0000 0.0000 0.5000
Cu 0.0000 0.0000 0.0000
Sb 0.0000 0.0000 0.0846


(2)
Simulated powder diffraction line list of CsRbZrCu2Se4 for Cu Kα (λ = 1.5418 Å), from a DFT-relaxed cell (GGA-PBE, OQMD).
Intensities are scaled so that the largest is 100.

Top 10 peaks for 2θ from 10° to 90°, sorted by position:
| hkl | two_theta | d [Å] | I (rel.) |
| --- | --- | --- | --- |
| 0 0 1 | 12.39 | 7.146 | 19.4 |
| 1 1 1 | 28.03 | 3.183 | 100.0 |
| 1 1 -2 | 28.25 | 3.159 | 97.2 |
| 2 0 -1 | 29.74 | 3.004 | 28.1 |
| 0 2 1 | 32.31 | 2.771 | 28.4 |
| 2 2 -1 | 42.56 | 2.124 | 66.6 |
| 2 0 2 | 48.52 | 1.876 | 20.3 |
| 0 2 3 | 48.78 | 1.867 | 39.4 |
| 2 0 -4 | 49.08 | 1.856 | 19.2 |
| 4 0 -2 | 61.76 | 1.502 | 21.4 |

Structure:
Unit cell a=6.0051 b=6.0111 c=7.7214 alpha=90.00 beta=112.25 gamma=90.00
Space group P2 (No. 3)
Unique sites:
Cs 0.0000 0.0000 0.0000
Rb 0.5000 0.4809 0.0000
Zr 0.5000 0.7383 0.5000
Cu 0.0000 0.7391 0.5000
Cu 0.5000 0.2386 0.5000
Se 0.1520 0.4865 0.3053
Se 0.3433 0.9901 0.6952


(3)
Simulated powder diffraction line list of Cs2Cu2ReTe4 for Cu Kα (λ = 1.5418 Å), from a DFT-relaxed cell (GGA-PBE, OQMD).
Intensities are scaled so that the largest is 100.

Top 10 peaks for 2θ from 10° to 90°, sorted by position:
| hkl | two_theta | d [Å] | I (rel.) |
| --- | --- | --- | --- |
| 0 2 0 | 11.49 | 7.699 | 18.4 |
| 1 1 0 | 15.40 | 5.755 | 11.5 |
| 1 3 1 | 26.72 | 3.336 | 100.0 |
| 2 0 0 | 28.76 | 3.104 | 14.0 |
| 2 2 0 | 31.07 | 2.879 | 19.6 |
| 2 4 0 | 37.21 | 2.416 | 13.6 |
| 2 0 2 | 41.13 | 2.195 | 32.7 |
| 2 6 0 | 45.88 | 1.978 | 43.4 |
| 3 3 1 | 49.73 | 1.834 | 35.7 |
| 4 6 2 | 78.31 | 1.221 | 17.7 |

Structure:
Unit cell a=6.2045 b=15.3971 c=6.2111 alpha=90.00 beta=90.00 gamma=90.00
Space group C222 (No. 21)
Unique sites:
Cs 0.2500 0.2500 0.2492
Cu 0.0000 0.0000 0.0000
Cu 0.0000 0.5000 0.5000
Re 0.0000 0.5000 0.0000
Te 0.2480 0.4048 0.7519


(4)
Simulated powder diffraction line list of CsCuS4 for Cu Kα (λ = 1.5418 Å), from a DFT-relaxed cell (GGA-PBE, OQMD).
Intensities are scaled so that the largest is 100.

Top 10 peaks for 2θ from 10° to 90°, sorted by position:
| hkl | two_theta | d [Å] | I (rel.) |
| --- | --- | --- | --- |
| 1 1 0 | 19.65 | 4.518 | 68.3 |
| 0 2 1 | 21.09 | 4.212 | 62.6 |
| 0 0 4 | 26.09 | 3.416 | 46.3 |
| 1 2 0 | 26.32 | 3.386 | 54.5 |
| 1 2 1 | 27.13 | 3.286 | 43.6 |
| 1 1 3 | 27.81 | 3.208 | 43.7 |
| 0 1 4 | 28.00 | 3.187 | 85.4 |
| 1 0 4 | 31.23 | 2.864 | 48.9 |
| 1 2 3 | 32.93 | 2.720 | 100.0 |
| 2 1 1 | 36.27 | 2.477 | 94.9 |

Structure:
Unit cell a=5.2533 b=8.8558 c=13.6634 alpha=90.00 beta=90.00 gamma=90.00
Space group P2_12_12_1 (No. 19)
Unique sites:
Cs 0.1622 0.0735 0.3361
Cu 0.0363 0.1410 0.0612
S 0.0678 0.5659 0.9238
S 0.1186 0.7071 0.5918
S 0.1504 0.3596 0.8498
S 0.1848 0.9033 0.0974


(5)
Simulated powder diffraction line list of Cs2Cu3S4 for Cu Kα (λ = 1.5418 Å), from a DFT-relaxed cell (GGA-PBE, OQMD).
Intensities are scaled so that the largest is 100.

Top 10 peaks for 2θ from 10° to 90°, sorted by position:
| hkl | two_theta | d [Å] | I (rel.) |
| --- | --- | --- | --- |
| 0 0 2 | 12.04 | 7.349 | 20.0 |
| 0 2 2 | 21.09 | 4.213 | 37.3 |
| 1 1 3 | 24.69 | 3.606 | 100.0 |
| 2 0 0 | 28.67 | 3.114 | 19.9 |
| 1 3 1 | 30.38 | 2.942 | 18.2 |
| 2 2 0 | 33.65 | 2.663 | 38.8 |
| 0 4 0 | 34.89 | 2.571 | 24.4 |
| 1 3 3 | 35.05 | 2.560 | 62.8 |
| 2 2 6 | 50.63 | 1.803 | 39.1 |
| 0 4 6 | 51.53 | 1.773 | 18.1 |

Structure:
Unit cell a=6.2279 b=10.2821 c=14.6986 alpha=90.00 beta=90.00 gamma=90.00
Space group Fmmm (No. 69)
Unique sites:
Cs 0.0000 0.0000 0.1658
Cu 0.0000 0.0000 0.5000
Cu 0.2500 0.2500 0.0000
S 0.0000 0.1686 0.3956


(6)
Simulated powder diffraction line list of CsCuSb2S4 for Cu Kα (λ = 1.5418 Å), from a DFT-relaxed cell (GGA-PBE, OQMD).
Intensities are scaled so that the largest is 100.

Top 10 peaks for 2θ from 10° to 90°, sorted by position:
| hkl | two_theta | d [Å] | I (rel.) |
| --- | --- | --- | --- |
| 1 1 0 | 14.23 | 6.223 | 25.0 |
| 2 0 0 | 23.85 | 3.730 | 44.2 |
| 1 1 2 | 24.34 | 3.656 | 52.8 |
| 1 1 -3 | 26.42 | 3.373 | 21.8 |
| 1 3 0 | 26.54 | 3.359 | 100.0 |
| 0 2 3 | 30.00 | 2.978 | 26.6 |
| 2 2 -2 | 30.14 | 2.965 | 37.0 |
| 1 1 3 | 31.81 | 2.813 | 33.4 |
| 2 2 -3 | 34.28 | 2.616 | 26.7 |
| 3 1 -3 | 39.62 | 2.275 | 27.7 |

Structure:
Unit cell a=7.7092 b=11.2835 c=10.8699 alpha=90.00 beta=104.59 gamma=90.00
Space group C2/c (No. 15)
Unique sites:
Cs 0.0000 0.0138 0.2500
Cu 0.0000 0.3932 0.2500
Sb 0.0445 0.3460 0.9289
S 0.1846 0.4567 0.4332
S 0.1895 0.2701 0.1430